1.
The following is a simulated powder diffraction line list of Ta7Ni5. It was derived from the PBE geometry in OQMD, using Cu Kα.
Lines closer than 0.1° are merged.

Atomic structure:
```
data_Ta7Ni5
_symmetry_space_group_name_H-M 'P 63/m m c'
_symmetry_Int_Tables_number 194
_symmetry_space_group_name_Hall '-P 6c 2c'
_cell_length_a 5.1096
_cell_length_b 5.1096
_cell_length_c 16.1532
_cell_angle_alpha 90.00
_cell_angle_beta 90.00
_cell_angle_gamma 120.00
loop_
_atom_site_label
_atom_site_type_symbol
_atom_site_fract_x
_atom_site_fract_y
_atom_site_fract_z
Ta1 Ta 0.0000 0.0000 0.0874
Ta2 Ta 0.1652 0.3304 0.2500
Ta3 Ta 0.3333 0.6667 0.6444
Ni1 Ni 0.0000 0.5000 0.0000
Ni2 Ni 0.3333 0.6667 0.1172
```

Main lines, sorted by position (5 to 70 degrees two-theta):
2θ (°)  I (rel.)  index
10.95  31  0 0 2
34.37  34  1 0 5
35.13  36  1 1 0
39.17  57  1 0 6
41.18  52  2 0 1
41.84  100  1 1 4
42.36  53  2 0 2
44.26  27  2 0 3
65.73  23  2 1 6
67.62  24  3 0 4


2.
The following is a simulated powder diffraction line list of Al4PtAu. It was derived from the PBE geometry in OQMD, using Cu Kα.
Lines closer than 0.1° are merged.

Atomic structure:
```
data_Al4PtAu
_symmetry_space_group_name_H-M 'P 4/m m m'
_symmetry_Int_Tables_number 123
_symmetry_space_group_name_Hall '-P 4 2'
_cell_length_a 4.244
_cell_length_b 4.244
_cell_length_c 6.025
_cell_angle_alpha 90.00
_cell_angle_beta 90.00
_cell_angle_gamma 90.00
loop_
_atom_site_label
_atom_site_type_symbol
_atom_site_fract_x
_atom_site_fract_y
_atom_site_fract_z
Al1 Al 0.000 0.500 0.240
Pt1 Pt 0.000 0.000 0.000
Au1 Au 0.500 0.500 0.500
```

Main lines, sorted by position (5 to 70 degrees two-theta):
2θ (°)  I (rel.)  index
25.68  100  1 0 1
29.66  9  0 0 2
29.77  18  1 1 0
42.55  65  2 0 0
50.26  17  1 0 3
50.41  33  2 1 1
52.77  8  2 0 2
61.83  7  2 2 0
67.96  14  2 1 3
68.08  7  3 0 1


3.
The following is a simulated powder diffraction line list of Al2Co. It was derived from the PBE geometry in OQMD, using Cu Kα.
Lines closer than 0.1° are merged.

Atomic structure:
```
data_Al2Co
_symmetry_space_group_name_H-M 'C m c m'
_symmetry_Int_Tables_number 63
_symmetry_space_group_name_Hall '-C 2c 2'
_cell_length_a 4.988
_cell_length_b 8.109
_cell_length_c 7.970
_cell_angle_alpha 90.00
_cell_angle_beta 90.00
_cell_angle_gamma 90.00
loop_
_atom_site_label
_atom_site_type_symbol
_atom_site_fract_x
_atom_site_fract_y
_atom_site_fract_z
Al1 Al 0.000 0.184 0.047
Al2 Al 0.249 0.440 0.250
Co1 Co 0.000 0.303 0.750
Co2 Co 0.000 0.500 0.000
```

Main lines, sorted by position (5 to 70 degrees two-theta):
2θ (°)  I (rel.)  index
20.91  57  1 1 0
23.73  44  1 1 1
36.01  29  2 0 0
40.03  52  1 1 3
42.77  22  2 0 2
44.12  32  2 2 1
44.38  100  1 3 2
45.53  37  0 0 4
46.21  30  0 4 1
48.57  44  2 2 2


4.
The following is a simulated powder diffraction line list of BaYTh. It was derived from the PBE geometry in OQMD, using Cu Kα.
Lines closer than 0.1° are merged.

Atomic structure:
```
data_BaYTh
_symmetry_space_group_name_H-M 'F -4 3 m'
_symmetry_Int_Tables_number 216
_symmetry_space_group_name_Hall 'F -4 2 3'
_cell_length_a 8.118
_cell_length_b 8.118
_cell_length_c 8.118
_cell_angle_alpha 90.00
_cell_angle_beta 90.00
_cell_angle_gamma 90.00
loop_
_atom_site_label
_atom_site_type_symbol
_atom_site_fract_x
_atom_site_fract_y
_atom_site_fract_z
Ba1 Ba 0.000 0.000 0.000
Y1 Y 0.250 0.250 0.250
Th1 Th 0.000 0.000 0.500
```

Main lines, sorted by position (5 to 70 degrees two-theta):
2θ (°)  I (rel.)  index
18.93  19  1 1 1
21.90  41  2 0 0
31.16  100  2 2 0
36.72  11  3 1 1
38.41  13  2 2 2
44.65  19  4 0 0
50.26  19  4 2 0
55.45  39  4 2 2
64.98  12  4 4 0
69.47  9  6 0 0


Please write out number 1 again, unchanged.
The following is a simulated powder diffraction line list of Ta7Ni5. It was derived from the PBE geometry in OQMD, using Cu Kα.
Lines closer than 0.1° are merged.

Atomic structure:
```
data_Ta7Ni5
_symmetry_space_group_name_H-M 'P 63/m m c'
_symmetry_Int_Tables_number 194
_symmetry_space_group_name_Hall '-P 6c 2c'
_cell_length_a 5.1096
_cell_length_b 5.1096
_cell_length_c 16.1532
_cell_angle_alpha 90.00
_cell_angle_beta 90.00
_cell_angle_gamma 120.00
loop_
_atom_site_label
_atom_site_type_symbol
_atom_site_fract_x
_atom_site_fract_y
_atom_site_fract_z
Ta1 Ta 0.0000 0.0000 0.0874
Ta2 Ta 0.1652 0.3304 0.2500
Ta3 Ta 0.3333 0.6667 0.6444
Ni1 Ni 0.0000 0.5000 0.0000
Ni2 Ni 0.3333 0.6667 0.1172
```

Main lines, sorted by position (5 to 70 degrees two-theta):
2θ (°)  I (rel.)  index
10.95  31  0 0 2
34.37  34  1 0 5
35.13  36  1 1 0
39.17  57  1 0 6
41.18  52  2 0 1
41.84  100  1 1 4
42.36  53  2 0 2
44.26  27  2 0 3
65.73  23  2 1 6
67.62  24  3 0 4


Q: Number 4 is which compound?
A: BaYTh